No. 1
The following is a computed XRD peak list of Er8GeP3Se4. It was derived from a crystal structure in Alexandria, relaxed with PBE, using Cu Kα, 1.54184 Å.

Structure:
```
data_Er8GeP3Se4
_cell_length_a 8.099
_cell_length_b 8.099
_cell_length_c 8.099
_cell_angle_alpha 59.40
_cell_angle_beta 59.40
_cell_angle_gamma 59.40
_space_group_name_H-M_alt 'P 1'
_space_group_IT_number 1
loop_
_space_group_symop_operation_xyz
'x,y,z'
loop_
_atom_site_label
_atom_site_fract_x
_atom_site_fract_y
_atom_site_fract_z
Er1 0.242 0.242 0.242
Er2 0.242 0.745 0.745
Er3 0.255 0.255 0.758
Er4 0.255 0.758 0.255
Er5 0.745 0.242 0.745
Er6 0.745 0.745 0.242
Er7 0.758 0.255 0.255
Er8 0.758 0.758 0.758
Ge1 0.500 0.500 0.500
P1 0.000 0.000 0.500
P2 0.000 0.500 0.000
P3 0.500 0.000 0.000
Se1 0.000 0.000 0.000
Se2 0.000 0.500 0.500
Se3 0.500 0.000 0.500
Se4 0.500 0.500 0.000
```

Main lines, by intensity (5 to 70 degrees two-theta):
31.39°, rel. 100
45.19°, rel. 37
44.76°, rel. 35
27.18°, rel. 30
56.05°, rel. 19
65.50°, rel. 11
26.84°, rel. 10
53.35°, rel. 9
55.32°, rel. 6
53.54°, rel. 5

No. 2
The following is a computed XRD peak list of Er4GeP2Se. It was derived from a crystal structure in Alexandria, relaxed with PBE, using Cu Kα, 1.54184 Å.

Structure:
```
data_Er4GeP2Se
_cell_length_a 6.968
_cell_length_b 6.968
_cell_length_c 6.968
_cell_angle_alpha 131.81
_cell_angle_beta 131.81
_cell_angle_gamma 70.53
_space_group_name_H-M_alt 'P 1'
_space_group_IT_number 1
loop_
_space_group_symop_operation_xyz
'x,y,z'
loop_
_atom_site_label
_atom_site_fract_x
_atom_site_fract_y
_atom_site_fract_z
Er1 0.004 0.504 0.500
Er2 0.243 0.243 0.000
Er3 0.496 0.996 0.500
Er4 0.757 0.757 0.000
Ge1 0.750 0.250 0.500
P1 0.000 0.000 0.000
P2 0.250 0.750 0.500
Se1 0.500 0.500 0.000
```

Main lines, by intensity (5 to 70 degrees two-theta):
31.45°, rel. 100
45.07°, rel. 73
27.15°, rel. 49
55.99°, rel. 26
53.41°, rel. 23
65.64°, rel. 12
28.28°, rel. 3
42.80°, rel. 2
17.43°, rel. 2
68.50°, rel. 1

No. 3
The following is a computed XRD peak list of Er2Ge6Pd. It was derived from a crystal structure in Alexandria, relaxed with PBE, using Cu Kα, 1.54184 Å.

Structure:
```
data_Er2Ge6Pd
_cell_length_a 4.082
_cell_length_b 11.141
_cell_length_c 11.141
_cell_angle_alpha 20.79
_cell_angle_beta 90.00
_cell_angle_gamma 90.00
_space_group_name_H-M_alt 'P 1'
_space_group_IT_number 1
loop_
_space_group_symop_operation_xyz
'x,y,z'
loop_
_atom_site_label
_atom_site_fract_x
_atom_site_fract_y
_atom_site_fract_z
Er1 0.000 0.000 0.000
Er2 0.000 0.341 0.341
Ge1 0.000 0.625 0.625
Ge2 0.000 0.740 0.740
Ge3 0.500 0.127 0.127
Ge4 0.500 0.242 0.242
Ge5 0.500 0.448 0.448
Ge6 0.500 0.876 0.876
Pd1 0.500 0.559 0.559
```

Main lines, by intensity (5 to 70 degrees two-theta):
33.60°, rel. 100
32.90°, rel. 24
44.38°, rel. 23
45.10°, rel. 23
43.44°, rel. 18
37.51°, rel. 17
42.79°, rel. 17
65.13°, rel. 15
8.07°, rel. 14
32.69°, rel. 12

No. 4
The following is a computed XRD peak list of Er3Ge2Pd6. It was derived from a crystal structure in Alexandria, relaxed with PBE, using Cu Kα, 1.54184 Å.

Structure:
```
data_Er3Ge2Pd6
_cell_length_a 8.146
_cell_length_b 8.146
_cell_length_c 8.146
_cell_angle_alpha 109.47
_cell_angle_beta 109.47
_cell_angle_gamma 109.47
_space_group_name_H-M_alt 'P 1'
_space_group_IT_number 1
loop_
_space_group_symop_operation_xyz
'x,y,z'
loop_
_atom_site_label
_atom_site_fract_x
_atom_site_fract_y
_atom_site_fract_z
Er1 0.000 0.288 0.288
Er2 0.000 0.712 0.712
Er3 0.288 0.000 0.288
Er4 0.288 0.288 0.000
Er5 0.712 0.000 0.712
Er6 0.712 0.712 0.000
Ge1 0.000 0.000 0.500
Ge2 0.000 0.500 0.000
Ge3 0.500 0.000 0.000
Ge4 0.500 0.500 0.500
Pd1 0.000 0.330 0.670
Pd2 0.000 0.670 0.330
Pd3 0.330 0.000 0.670
Pd4 0.330 0.330 0.659
Pd5 0.330 0.659 0.330
Pd6 0.330 0.670 0.000
Pd7 0.341 0.670 0.670
Pd8 0.659 0.330 0.330
Pd9 0.670 0.000 0.330
Pd10 0.670 0.330 0.000
Pd11 0.670 0.341 0.670
Pd12 0.670 0.670 0.341
```

Main lines, by intensity (5 to 70 degrees two-theta):
40.69°, rel. 100
35.72°, rel. 30
30.04°, rel. 24
38.27°, rel. 20
60.69°, rel. 18
65.86°, rel. 17
32.99°, rel. 17
58.91°, rel. 10
57.09°, rel. 9
13.31°, rel. 8

No. 5
The following is a computed XRD peak list of Er3Ge7Pd2. It was derived from a crystal structure in Alexandria, relaxed with PBE, using Cu Kα, 1.54184 Å.

Structure:
```
data_Er3Ge7Pd2
_cell_length_a 4.408
_cell_length_b 4.130
_cell_length_c 13.199
_cell_angle_alpha 90.00
_cell_angle_beta 99.37
_cell_angle_gamma 90.00
_space_group_name_H-M_alt 'P 1'
_space_group_IT_number 1
loop_
_space_group_symop_operation_xyz
'x,y,z'
loop_
_atom_site_label
_atom_site_fract_x
_atom_site_fract_y
_atom_site_fract_z
Er1 0.000 0.000 0.000
Er2 0.315 0.500 0.634
Er3 0.685 0.500 0.366
Ge1 0.160 0.500 0.167
Ge2 0.228 0.000 0.454
Ge3 0.410 0.000 0.830
Ge4 0.500 0.500 0.000
Ge5 0.590 0.000 0.170
Ge6 0.772 0.000 0.546
Ge7 0.840 0.500 0.833
Pd1 0.121 0.000 0.268
Pd2 0.879 0.000 0.732
```

Main lines, by intensity (5 to 70 degrees two-theta):
34.38°, rel. 100
40.95°, rel. 35
35.10°, rel. 34
43.84°, rel. 30
29.85°, rel. 25
31.43°, rel. 24
61.54°, rel. 22
38.49°, rel. 16
43.45°, rel. 12
38.38°, rel. 11

No. 6
The following is a computed XRD peak list of Er2Ge3Pd. It was derived from a crystal structure in Alexandria, relaxed with PBE, using Cu Kα, 1.54184 Å.

Structure:
```
data_Er2Ge3Pd
_cell_length_a 8.453
_cell_length_b 8.345
_cell_length_c 5.788
_cell_angle_alpha 70.85
_cell_angle_beta 68.85
_cell_angle_gamma 40.31
_space_group_name_H-M_alt 'P 1'
_space_group_IT_number 1
loop_
_space_group_symop_operation_xyz
'x,y,z'
loop_
_atom_site_label
_atom_site_fract_x
_atom_site_fract_y
_atom_site_fract_z
Er1 0.247 0.753 0.753
Er2 0.250 0.250 0.250
Er3 0.750 0.750 0.750
Er4 0.753 0.247 0.247
Ge1 0.168 0.168 0.832
Ge2 0.169 0.664 0.336
Ge3 0.336 0.831 0.169
Ge4 0.664 0.169 0.831
Ge5 0.831 0.336 0.664
Ge6 0.832 0.832 0.168
Pd1 0.333 0.333 0.667
Pd2 0.667 0.667 0.333
```

Main lines, by intensity (5 to 70 degrees two-theta):
33.32°, rel. 100
33.22°, rel. 50
42.79°, rel. 44
64.29°, rel. 26
55.44°, rel. 23
43.05°, rel. 22
45.58°, rel. 19
64.49°, rel. 13
55.15°, rel. 12
24.41°, rel. 11

No. 7
The following is a computed XRD peak list of Pm3ErGe3. It was derived from a crystal structure in Alexandria, relaxed with PBE, using Cu Kα, 1.54184 Å.

Structure:
```
data_Pm3ErGe3
_cell_length_a 7.560
_cell_length_b 7.560
_cell_length_c 7.622
_cell_angle_alpha 91.39
_cell_angle_beta 91.39
_cell_angle_gamma 113.41
_space_group_name_H-M_alt 'P 1'
_space_group_IT_number 1
loop_
_space_group_symop_operation_xyz
'x,y,z'
loop_
_atom_site_label
_atom_site_fract_x
_atom_site_fract_y
_atom_site_fract_z
Pm1 0.163 0.837 0.000
Pm2 0.228 0.772 0.500
Pm3 0.378 0.378 0.140
Pm4 0.622 0.622 0.860
Pm5 0.772 0.228 0.500
Pm6 0.837 0.163 0.000
Er1 0.246 0.246 0.600
Er2 0.754 0.754 0.400
Ge1 0.068 0.068 0.281
Ge2 0.151 0.498 0.801
Ge3 0.498 0.151 0.801
Ge4 0.502 0.849 0.199
Ge5 0.849 0.502 0.199
Ge6 0.932 0.932 0.719
```

Main lines, by intensity (5 to 70 degrees two-theta):
33.86°, rel. 100
34.34°, rel. 74
28.69°, rel. 47
26.28°, rel. 41
26.67°, rel. 40
34.77°, rel. 40
25.70°, rel. 37
28.25°, rel. 29
50.02°, rel. 27
30.63°, rel. 26

No. 8
The following is a computed XRD peak list of Pm3ErGe4. It was derived from a crystal structure in Alexandria, relaxed with PBE, using Cu Kα, 1.54184 Å.

Structure:
```
data_Pm3ErGe4
_cell_length_a 5.970
_cell_length_b 11.999
_cell_length_c 5.970
_cell_angle_alpha 90.00
_cell_angle_beta 90.00
_cell_angle_gamma 90.00
_space_group_name_H-M_alt 'P 1'
_space_group_IT_number 1
loop_
_space_group_symop_operation_xyz
'x,y,z'
loop_
_atom_site_label
_atom_site_fract_x
_atom_site_fract_y
_atom_site_fract_z
Pm1 0.250 0.000 0.249
Pm2 0.250 0.250 0.746
Pm3 0.250 0.500 0.249
Pm4 0.750 0.000 0.751
Pm5 0.750 0.500 0.751
Pm6 0.750 0.750 0.254
Er1 0.250 0.750 0.753
Er2 0.750 0.250 0.247
Ge1 0.250 0.250 0.246
Ge2 0.250 0.505 0.749
Ge3 0.250 0.750 0.252
Ge4 0.250 0.995 0.749
Ge5 0.750 0.005 0.251
Ge6 0.750 0.250 0.748
Ge7 0.750 0.495 0.251
Ge8 0.750 0.750 0.754
```

Main lines, by intensity (5 to 70 degrees two-theta):
29.94°, rel. 100
42.73°, rel. 76
29.78°, rel. 51
53.05°, rel. 40
42.85°, rel. 38
25.81°, rel. 32
62.20°, rel. 12
50.69°, rel. 11
61.86°, rel. 6
50.50°, rel. 5

No. 9
The following is a computed XRD peak list of Pm3ErGe2. It was derived from a crystal structure in Alexandria, relaxed with PBE, using Cu Kα, 1.54184 Å.

Structure:
```
data_Pm3ErGe2
_cell_length_a 10.434
_cell_length_b 10.434
_cell_length_c 8.335
_cell_angle_alpha 111.84
_cell_angle_beta 111.84
_cell_angle_gamma 23.06
_space_group_name_H-M_alt 'P 1'
_space_group_IT_number 1
loop_
_space_group_symop_operation_xyz
'x,y,z'
loop_
_atom_site_label
_atom_site_fract_x
_atom_site_fract_y
_atom_site_fract_z
Pm1 0.024 0.024 0.324
Pm2 0.322 0.322 0.568
Pm3 0.407 0.407 0.993
Pm4 0.593 0.593 0.007
Pm5 0.678 0.678 0.432
Pm6 0.976 0.976 0.676
Er1 0.191 0.191 0.805
Er2 0.809 0.809 0.195
Ge1 0.206 0.206 0.188
Ge2 0.419 0.419 0.361
Ge3 0.581 0.581 0.639
Ge4 0.794 0.794 0.812
```

Main lines, by intensity (5 to 70 degrees two-theta):
30.73°, rel. 100
31.94°, rel. 79
30.32°, rel. 69
32.44°, rel. 61
43.39°, rel. 53
30.60°, rel. 46
33.85°, rel. 42
54.10°, rel. 34
35.19°, rel. 33
33.28°, rel. 33

No. 10
The following is a computed XRD peak list of Pm2Er3Ge4. It was derived from a crystal structure in Alexandria, relaxed with PBE, using Cu Kα, 1.54184 Å.

Structure:
```
data_Pm2Er3Ge4
_cell_length_a 7.917
_cell_length_b 7.825
_cell_length_c 7.618
_cell_angle_alpha 90.00
_cell_angle_beta 111.21
_cell_angle_gamma 90.00
_space_group_name_H-M_alt 'P 1'
_space_group_IT_number 1
loop_
_space_group_symop_operation_xyz
'x,y,z'
loop_
_atom_site_label
_atom_site_fract_x
_atom_site_fract_y
_atom_site_fract_z
Pm1 0.196 0.180 0.066
Pm2 0.196 0.320 0.566
Pm3 0.804 0.680 0.434
Pm4 0.804 0.820 0.934
Er1 0.241 0.665 0.235
Er2 0.241 0.835 0.735
Er3 0.500 0.000 0.500
Er4 0.500 0.500 0.000
Er5 0.759 0.165 0.265
Er6 0.759 0.335 0.765
Ge1 0.086 0.539 0.835
Ge2 0.086 0.961 0.335
Ge3 0.493 0.131 0.869
Ge4 0.493 0.369 0.369
Ge5 0.507 0.631 0.631
Ge6 0.507 0.869 0.131
Ge7 0.914 0.039 0.665
Ge8 0.914 0.461 0.165
```

Main lines, by intensity (5 to 70 degrees two-theta):
32.40°, rel. 100
37.25°, rel. 94
33.73°, rel. 92
33.38°, rel. 58
32.96°, rel. 50
36.70°, rel. 48
36.53°, rel. 37
30.15°, rel. 36
30.62°, rel. 33
36.12°, rel. 31

No. 11
The following is a computed XRD peak list of Pr4ErGe4. It was derived from a crystal structure in Alexandria, relaxed with PBE, using Cu Kα, 1.54184 Å.

Structure:
```
data_Pr4ErGe4
_cell_length_a 9.088
_cell_length_b 9.088
_cell_length_c 6.183
_cell_angle_alpha 90.00
_cell_angle_beta 90.00
_cell_angle_gamma 90.00
_space_group_name_H-M_alt 'P 1'
_space_group_IT_number 1
loop_
_space_group_symop_operation_xyz
'x,y,z'
loop_
_atom_site_label
_atom_site_fract_x
_atom_site_fract_y
_atom_site_fract_z
Pr1 0.048 0.672 0.116
Pr2 0.172 0.952 0.616
Pr3 0.328 0.548 0.616
Pr4 0.452 0.828 0.116
Pr5 0.548 0.172 0.884
Pr6 0.672 0.452 0.384
Pr7 0.828 0.048 0.384
Pr8 0.952 0.328 0.884
Er1 0.250 0.250 0.250
Er2 0.750 0.750 0.750
Ge1 0.011 0.630 0.604
Ge2 0.130 0.989 0.104
Ge3 0.370 0.511 0.104
Ge4 0.489 0.870 0.604
Ge5 0.511 0.130 0.396
Ge6 0.630 0.489 0.896
Ge7 0.870 0.011 0.896
Ge8 0.989 0.370 0.396
```

Main lines, by intensity (5 to 70 degrees two-theta):
31.12°, rel. 100
26.24°, rel. 53
30.54°, rel. 45
36.52°, rel. 41
44.59°, rel. 31
46.48°, rel. 30
50.88°, rel. 21
52.47°, rel. 16
68.99°, rel. 13
34.41°, rel. 12

No. 12
The following is a computed XRD peak list of Er3Ge2Pt4. It was derived from a crystal structure in Alexandria, relaxed with PBE, using Cu Kα, 1.54184 Å.

Structure:
```
data_Er3Ge2Pt4
_cell_length_a 5.623
_cell_length_b 5.623
_cell_length_c 8.614
_cell_angle_alpha 112.56
_cell_angle_beta 112.56
_cell_angle_gamma 45.63
_space_group_name_H-M_alt 'P 1'
_space_group_IT_number 1
loop_
_space_group_symop_operation_xyz
'x,y,z'
loop_
_atom_site_label
_atom_site_fract_x
_atom_site_fract_y
_atom_site_fract_z
Er1 0.000 0.000 0.000
Er2 0.358 0.358 0.310
Er3 0.642 0.642 0.690
Ge1 0.345 0.345 0.678
Ge2 0.655 0.655 0.322
Pt1 0.086 0.086 0.409
Pt2 0.281 0.281 0.926
Pt3 0.719 0.719 0.074
Pt4 0.914 0.914 0.591
```

Main lines, by intensity (5 to 70 degrees two-theta):
34.93°, rel. 100
40.24°, rel. 74
41.41°, rel. 44
35.21°, rel. 44
33.08°, rel. 36
34.35°, rel. 20
31.51°, rel. 17
55.24°, rel. 13
52.94°, rel. 12
53.05°, rel. 12